# PmSb2Rh
Calculated powder diffractogram, Cu Kα, 1.54184 Å. Input: a PBE-relaxed structure.
No peak broadening, texture or thermal motion is included.

Main lines, in order of rising 2θ (5° ≤ 2θ ≤ 70°):
2θ 8.87, d = 9.966 Å, rel. 11, (0 0 1); 2θ 27.05, d = 3.296 Å, rel. 14, (1 0 2); 2θ 33.82, d = 2.650 Å, rel. 19, (1 0 3); 2θ 33.99, d = 2.637 Å, rel. 100, (1 1 2); 2θ 41.07, d = 2.198 Å, rel. 42, (2 0 0); 2θ 50.26, d = 1.815 Å, rel. 14, (1 0 5); 2θ 54.22, d = 1.692 Å, rel. 10, (2 1 3); 2θ 55.78, d = 1.648 Å, rel. 11, (2 0 4); 2θ 59.48, d = 1.554 Å, rel. 14, (2 2 0); 2θ 66.85, d = 1.400 Å, rel. 12, (2 1 5)

Cell: 4.396 4.396 9.966 Å, 90.00 90.00 90.00°
Sites, in units of the cell vectors:
Pm (0.250, 0.250, 0.250)
Pm (0.750, 0.750, 0.750)
Sb (0.250, 0.250, 0.652)
Sb (0.250, 0.750, 0.000)
Sb (0.750, 0.250, 0.000)
Sb (0.750, 0.750, 0.348)
Rh (0.250, 0.750, 0.500)
Rh (0.750, 0.250, 0.500)